Structure and theoretical powder diffraction line list of LiZr5TlF22 (a DFT-relaxed cell (GGA-PBE, Alexandria); Cu Kα X-rays).
Peak positions follow from Bragg's law for the DFT cell and can differ from measured ones.

Crystal structure
Unit cell a=8.1595 b=8.1595 c=11.8020 alpha=90.00 beta=90.00 gamma=90.00
Sites, in units of the cell vectors:
Li1 0.2500 0.7500 0.0000
Li2 0.7500 0.2500 0.0000
Zr1 0.0699 0.5699 0.2546
Zr2 0.0699 0.9301 0.7454
Zr3 0.2500 0.2500 0.5000
Zr4 0.4301 0.5699 0.7454
Zr5 0.4301 0.9301 0.2546
Zr6 0.5699 0.0699 0.7454
Zr7 0.5699 0.4301 0.2546
Zr8 0.7500 0.7500 0.5000
Zr9 0.9301 0.0699 0.2546
Zr10 0.9301 0.4301 0.7454
Tl1 0.2500 0.2500 0.0000
Tl2 0.7500 0.7500 0.0000
F1 0.0375 0.1783 0.7873
F2 0.0375 0.3217 0.2127
F3 0.0483 0.1648 0.4018
F4 0.0483 0.3352 0.5982
F5 0.1100 0.6100 0.0867
F6 0.1100 0.8900 0.9133
F7 0.1648 0.0483 0.5982
F8 0.1648 0.4517 0.4018
F9 0.1783 0.0375 0.2127
F10 0.1783 0.4625 0.7873
F11 0.2500 0.7500 0.2975
F12 0.2500 0.7500 0.7025
F13 0.3217 0.0375 0.7873
F14 0.3217 0.4625 0.2127
F15 0.3352 0.0483 0.4018
F16 0.3352 0.4517 0.5982
F17 0.3900 0.6100 0.9133
F18 0.3900 0.8900 0.0867
F19 0.4517 0.1648 0.5982
F20 0.4517 0.3352 0.4018
F21 0.4625 0.1783 0.2127
F22 0.4625 0.3217 0.7873
F23 0.5375 0.6783 0.2127
F24 0.5375 0.8217 0.7873
F25 0.5483 0.6648 0.5982
F26 0.5483 0.8352 0.4018
F27 0.6100 0.1100 0.9133
F28 0.6100 0.3900 0.0867
F29 0.6648 0.5483 0.4018
F30 0.6648 0.9517 0.5982
F31 0.6783 0.5375 0.7873
F32 0.6783 0.9625 0.2127
F33 0.7500 0.2500 0.2975
F34 0.7500 0.2500 0.7025
F35 0.8217 0.5375 0.2127
F36 0.8217 0.9625 0.7873
F37 0.8352 0.5483 0.5982
F38 0.8352 0.9517 0.4018
F39 0.8900 0.1100 0.0867
F40 0.8900 0.3900 0.9133
F41 0.9517 0.6648 0.4018
F42 0.9517 0.8352 0.5982
F43 0.9625 0.6783 0.7873
F44 0.9625 0.8217 0.2127

Main lines, most intense first (5 to 70 degrees two-theta):
Position (°2θ)  d [Å]  I (rel.)  (hkl)
26.56  3.356  100  2 0 2
21.54  4.125  83  1 1 2
25.55  3.486  65  2 1 1
15.36  5.770  34  1 1 0
49.87  1.829  30  3 3 2
46.77  1.942  29  3 1 4
51.71  1.768  27  4 1 3
30.29  2.950  26  0 0 4
46.53  1.952  24  4 1 1
34.77  2.580  23  3 1 0